Entry 1:
For Ce2PmZn2Hg2, a cell relaxed with PBE gives the computed powder diffraction line list in this record (a wavelength of 1.5418 Å).
Peak positions follow from Bragg's law for the DFT cell and can differ from measured ones.

Atomic structure:
Cell lengths 9.5466, 9.5466, 9.5466 Å; angles 27.67, 27.67, 27.67 degrees
Atoms (fractional coordinates):
Ce: 0.1428 0.1428 0.1428
Ce: 0.8572 0.8572 0.8572
Pm: 0.0000 0.0000 0.0000
Zn: 0.4135 0.4135 0.4135
Zn: 0.5865 0.5865 0.5865
Hg: 0.2647 0.2647 0.2647
Hg: 0.7353 0.7353 0.7353

Peak list (10 most intense, 10° ≤ 2θ ≤ 80°, by angle)
Position (°2θ), I/Imax
23.41, 20.6
32.10, 100.0
34.55, 43.5
39.47, 88.5
51.75, 26.1
53.45, 12.7
65.23, 24.9
66.98, 23.9
68.44, 12.2
71.58, 15.3

=====

Entry 2:
For Tl4SnI5, a cell relaxed with PBE gives the computed powder diffraction line list in this record (a wavelength of 1.5418 Å).
Peak positions follow from Bragg's law for the DFT cell and can differ from measured ones.

Atomic structure:
Cell lengths 8.5683, 8.5683, 8.5683 Å; angles 99.89, 99.89, 131.04 degrees
Atoms (fractional coordinates):
Tl: 0.0915 0.7005 0.7921
Tl: 0.2995 0.0915 0.3910
Tl: 0.7005 0.9085 0.6090
Tl: 0.9085 0.2995 0.2079
Sn: 0.4989 0.4989 0.0000
I: 0.2198 0.4015 0.6215
I: 0.4015 0.7800 0.1817
I: 0.5983 0.2198 0.8183
I: 0.7800 0.5983 0.3785
I: 0.9984 0.9984 0.0000

Peak list (10 most intense, 10° ≤ 2θ ≤ 80°, by angle)
Position (°2θ), I/Imax
25.08, 53.1
25.54, 100.0
36.10, 81.4
36.44, 37.7
44.75, 42.5
58.32, 20.5
59.02, 17.7
59.25, 17.0
64.70, 15.2
65.35, 25.4

=====

Entry 3:
For PmIn2Au10, a cell relaxed with PBE gives the computed powder diffraction line list in this record (a wavelength of 1.5418 Å).
Peak positions follow from Bragg's law for the DFT cell and can differ from measured ones.

Atomic structure:
Cell lengths 9.4365, 7.5523, 7.0960 Å; angles 80.15, 52.05, 47.81 degrees
Atoms (fractional coordinates):
Pm: 0.0000 0.0000 0.0000
In: 0.0000 0.5000 0.0000
In: 0.5000 0.0000 0.5000
Au: 0.0000 0.0000 0.5000
Au: 0.0038 0.6684 0.3316
Au: 0.2849 0.5014 0.4986
Au: 0.3316 0.9962 0.0038
Au: 0.4986 0.7151 0.2849
Au: 0.5000 0.5000 0.0000
Au: 0.5014 0.2849 0.7151
Au: 0.6684 0.0038 0.9962
Au: 0.7151 0.4986 0.5014
Au: 0.9962 0.3316 0.6684

Peak list (10 most intense, 10° ≤ 2θ ≤ 80°, by angle)
Position (°2θ), I/Imax
29.49, 44.6
32.14, 72.9
35.24, 93.8
36.37, 71.5
38.26, 100.0
38.65, 67.1
39.55, 91.4
40.98, 77.6
41.62, 46.2
67.22, 49.9

=====

Entry 4:
For LiZnAu14, a cell relaxed with PBE gives the computed powder diffraction line list in this record (a wavelength of 1.5418 Å).
Peak positions follow from Bragg's law for the DFT cell and can differ from measured ones.

Atomic structure:
Cell lengths 5.9565, 5.9565, 7.9432 Å; angles 90.00, 90.00, 90.00 degrees
Atoms (fractional coordinates):
Li: 0.0000 0.0000 0.0000
Zn: 0.5000 0.5000 0.0000
Au: 0.0000 0.0000 0.5000
Au: 0.0000 0.5000 0.0000
Au: 0.0000 0.5000 0.5000
Au: 0.2500 0.2500 0.2424
Au: 0.2500 0.2500 0.7576
Au: 0.2500 0.7500 0.2424
Au: 0.2500 0.7500 0.7576
Au: 0.5000 0.0000 0.0000
Au: 0.5000 0.0000 0.5000
Au: 0.5000 0.5000 0.5000
Au: 0.7500 0.2500 0.2424
Au: 0.7500 0.2500 0.7576
Au: 0.7500 0.7500 0.2424
Au: 0.7500 0.7500 0.7576

Peak list (10 most intense, 10° ≤ 2θ ≤ 80°, by angle)
Position (°2θ), I/Imax
11.14, 3.1
23.91, 4.0
32.10, 3.0
37.75, 100.0
42.95, 35.2
45.69, 14.5
62.36, 11.8
64.50, 20.9
75.25, 27.8
79.18, 11.7

=====

Entry 5:
For Zn2Co, a cell relaxed with PBE gives the computed powder diffraction line list in this record (a wavelength of 1.5418 Å).
Peak positions follow from Bragg's law for the DFT cell and can differ from measured ones.

Atomic structure:
Cell lengths 4.1544, 4.1544, 2.5683 Å; angles 90.00, 90.00, 120.00 degrees
Atoms (fractional coordinates):
Zn: 0.3333 0.6667 0.3818
Zn: 0.6667 0.3333 0.6182
Co: 0.0000 0.0000 0.0000

Peak list (9 most intense, 10° ≤ 2θ ≤ 80°, by angle)
Position (°2θ), I/Imax
24.75, 0.8
34.93, 2.8
43.28, 97.8
43.57, 100.0
57.02, 4.1
63.10, 29.6
73.79, 0.8
79.20, 13.4
79.80, 28.6

=====

Entry 6:
For ThGePdN, a cell relaxed with PBE gives the computed powder diffraction line list in this record (a wavelength of 1.5418 Å).
Peak positions follow from Bragg's law for the DFT cell and can differ from measured ones.

Atomic structure:
Cell lengths 5.9168, 5.9168, 5.9168 Å; angles 144.70, 144.70, 50.79 degrees
Atoms (fractional coordinates):
Th: 0.0000 0.0000 0.0000
Ge: 0.2897 0.2897 0.0000
Pd: 0.7142 0.7142 0.0000
N: 0.4865 0.4865 0.0000

Peak list (10 most intense, 10° ≤ 2θ ≤ 80°, by angle)
Position (°2θ), I/Imax
26.20, 55.8
33.53, 31.8
35.38, 81.6
35.50, 100.0
49.54, 43.2
50.90, 28.9
58.13, 13.8
62.33, 21.2
63.59, 38.1
66.54, 23.4

=====

Entry 7:
For TbTmHgPd, a cell relaxed with PBE gives the computed powder diffraction line list in this record (a wavelength of 1.5418 Å).
Peak positions follow from Bragg's law for the DFT cell and can differ from measured ones.

Atomic structure:
Cell lengths 3.5589, 3.5589, 7.3688 Å; angles 90.00, 90.00, 90.00 degrees
Atoms (fractional coordinates):
Tb: 0.0000 0.0000 0.0000
Tm: 0.0000 0.0000 0.4574
Hg: 0.5000 0.5000 0.7220
Pd: 0.5000 0.5000 0.2395

Peak list (10 most intense, 10° ≤ 2θ ≤ 80°, by angle)
Position (°2θ), I/Imax
27.84, 8.5
35.06, 100.0
35.68, 49.7
49.48, 8.3
51.35, 17.7
52.03, 4.3
62.48, 16.6
63.69, 35.6
74.08, 10.1
75.57, 5.7

=====

Entry 8:
For CdCo, a cell relaxed with PBE gives the computed powder diffraction line list in this record (a wavelength of 1.5418 Å).
Peak positions follow from Bragg's law for the DFT cell and can differ from measured ones.

Atomic structure:
Cell lengths 7.6979, 6.1308, 5.6264 Å; angles 81.68, 52.00, 46.32 degrees
Atoms (fractional coordinates):
Cd: 0.0167 0.7130 0.2870
Cd: 0.2870 0.9833 0.0167
Cd: 0.7130 0.0167 0.9833
Cd: 0.9833 0.2870 0.7130
Co: 0.3275 0.3275 0.6725
Co: 0.3773 0.6227 0.3773
Co: 0.6227 0.3773 0.6227
Co: 0.6725 0.6725 0.3275

Peak list (10 most intense, 10° ≤ 2θ ≤ 80°, by angle)
Position (°2θ), I/Imax
31.34, 21.0
32.08, 20.4
33.79, 36.3
34.75, 15.3
40.37, 39.0
40.70, 100.0
45.46, 18.2
51.97, 9.8
66.83, 8.9
73.63, 15.8

=====

Entry 9:
For Zr3AlNi3, a cell relaxed with PBE gives the computed powder diffraction line list in this record (a wavelength of 1.5418 Å).
Peak positions follow from Bragg's law for the DFT cell and can differ from measured ones.

Atomic structure:
Cell lengths 3.9561, 6.5030, 9.5161 Å; angles 90.00, 90.00, 90.00 degrees
Atoms (fractional coordinates):
Zr: 0.2500 0.0033 0.1398
Zr: 0.2500 0.2500 0.6411
Zr: 0.2500 0.4967 0.1398
Zr: 0.7500 0.5033 0.8602
Zr: 0.7500 0.7500 0.3589
Zr: 0.7500 0.9967 0.8602
Al: 0.2500 0.7500 0.6270
Al: 0.7500 0.2500 0.3730
Ni: 0.2500 0.0212 0.4129
Ni: 0.2500 0.2500 0.9246
Ni: 0.2500 0.4788 0.4129
Ni: 0.7500 0.5212 0.5871
Ni: 0.7500 0.7500 0.0754
Ni: 0.7500 0.9788 0.5871

Peak list (10 most intense, 10° ≤ 2θ ≤ 80°, by angle)
Position (°2θ), I/Imax
16.51, 17.3
26.37, 26.6
29.36, 15.1
37.01, 100.0
37.82, 31.6
39.70, 26.5
44.44, 20.2
45.88, 30.8
46.09, 56.8
56.62, 16.1

=====

Entry 10:
For Tm12Ag2Hg5, a cell relaxed with PBE gives the computed powder diffraction line list in this record (a wavelength of 1.5418 Å).
Peak positions follow from Bragg's law for the DFT cell and can differ from measured ones.

Atomic structure:
Cell lengths 8.1599, 8.1599, 8.9658 Å; angles 94.16, 94.16, 62.72 degrees
Atoms (fractional coordinates):
Tm: 0.0241 0.0241 0.2432
Tm: 0.0858 0.6628 0.4474
Tm: 0.1066 0.5216 0.8243
Tm: 0.3372 0.9142 0.5526
Tm: 0.4247 0.4247 0.1589
Tm: 0.4784 0.8934 0.1757
Tm: 0.5216 0.1066 0.8243
Tm: 0.5753 0.5753 0.8411
Tm: 0.6628 0.0858 0.4474
Tm: 0.8934 0.4784 0.1757
Tm: 0.9142 0.3372 0.5526
Tm: 0.9759 0.9759 0.7568
Ag: 0.2327 0.7673 0.0000
Ag: 0.7673 0.2327 0.0000
Hg: 0.1674 0.1674 0.9513
Hg: 0.2491 0.2491 0.3725
Hg: 0.5000 0.5000 0.5000
Hg: 0.7509 0.7509 0.6275
Hg: 0.8326 0.8326 0.0487

Peak list (10 most intense, 10° ≤ 2θ ≤ 80°, by angle)
Position (°2θ), I/Imax
30.83, 88.0
31.09, 100.0
33.34, 20.7
33.68, 50.8
34.65, 45.3
35.51, 75.4
38.27, 26.2
40.04, 35.4
42.58, 37.5
62.40, 24.6

=====

Entry 11:
For Na2HgS4, a cell relaxed with PBE gives the computed powder diffraction line list in this record (a wavelength of 1.5418 Å).
Peak positions follow from Bragg's law for the DFT cell and can differ from measured ones.

Atomic structure:
Cell lengths 7.8228, 7.8228, 7.8228 Å; angles 141.29, 141.29, 55.90 degrees
Atoms (fractional coordinates):
Na: 0.1201 0.1201 0.0000
Na: 0.8799 0.8799 0.0000
Hg: 0.5000 0.5000 0.0000
S: 0.0000 0.5000 0.5000
S: 0.3263 0.3263 0.0000
S: 0.5000 0.0000 0.5000
S: 0.6737 0.6737 0.0000

Peak list (10 most intense, 10° ≤ 2θ ≤ 80°, by angle)
Position (°2θ), I/Imax
12.81, 78.0
18.27, 100.0
24.27, 41.9
25.85, 41.5
34.60, 40.0
36.85, 37.4
37.03, 24.5
39.40, 29.4
43.68, 27.6
51.44, 28.3

=====

Entry 12:
For NaSiPd3, a cell relaxed with PBE gives the computed powder diffraction line list in this record (a wavelength of 1.5418 Å).
Peak positions follow from Bragg's law for the DFT cell and can differ from measured ones.

Atomic structure:
Cell lengths 5.8312, 5.8312, 7.2441 Å; angles 119.16, 119.16, 59.55 degrees
Atoms (fractional coordinates):
Na: 0.0000 0.0000 0.0000
Na: 0.1031 0.1031 0.5470
Si: 0.6029 0.6029 0.7562
Si: 0.7106 0.7106 0.2521
Pd: 0.0297 0.5166 0.0556
Pd: 0.1182 0.5984 0.5438
Pd: 0.4527 0.4527 0.9362
Pd: 0.5166 0.0297 0.0556
Pd: 0.5490 0.5490 0.3974
Pd: 0.5984 0.1182 0.5438

Peak list (10 most intense, 10° ≤ 2θ ≤ 80°, by angle)
Position (°2θ), I/Imax
18.63, 82.6
21.21, 33.2
29.80, 67.7
35.85, 49.4
36.66, 59.9
37.77, 100.0
40.14, 68.7
41.39, 47.4
43.45, 52.4
46.08, 30.9

=====

Entry 13:
For KNpHg2Br8, a cell relaxed with PBE gives the computed powder diffraction line list in this record (a wavelength of 1.5418 Å).
Peak positions follow from Bragg's law for the DFT cell and can differ from measured ones.

Atomic structure:
Cell lengths 7.0771, 7.8707, 9.5833 Å; angles 109.98, 91.20, 98.04 degrees
Atoms (fractional coordinates):
K: 0.0000 0.0000 0.0000
Np: 0.0000 0.0000 0.5000
Hg: 0.4484 0.2673 0.8013
Hg: 0.5516 0.7326 0.1987
Br: 0.1678 0.7968 0.2332
Br: 0.2190 0.8686 0.6809
Br: 0.3198 0.3003 0.5555
Br: 0.4066 0.2976 0.0744
Br: 0.5934 0.7024 0.9256
Br: 0.6802 0.6997 0.4445
Br: 0.7810 0.1314 0.3191
Br: 0.8322 0.2032 0.7668

Peak list (10 most intense, 10° ≤ 2θ ≤ 80°, by angle)
Position (°2θ), I/Imax
12.11, 21.0
12.68, 100.0
15.48, 36.3
16.12, 36.0
22.73, 20.6
29.30, 42.5
30.02, 19.8
34.62, 19.5
36.77, 22.7
37.59, 22.3